[1]
For BaNaAgSnTe4, the GGA-PBE geometry in OQMD gives the simulated powder diffractogram in this record (λ = 1.5418 Å (Cu Kα)).

Structural model:
a = 7.2126 Å, b = 7.2126 Å, c = 8.0544 Å
α = 123.93°, β = 123.93°, γ = 75.70°
Atoms (fractional coordinates):
Ba (0.0000, 0.0000, 0.0000)
Na (0.2507, 0.7493, 0.5000)
Ag (0.7493, 0.2507, 0.5000)
Sn (0.5000, 0.5000, 0.0000)
Te (0.1093, 0.4600, 0.9771)
Te (0.4828, 0.1323, 0.5923)
Te (0.5400, 0.8907, 0.0229)
Te (0.8677, 0.5172, 0.4077)

Largest 10 diffraction maxima, sorted by position, 2θ = 10–90°:
14.87 deg, 5.957 Å, I 22; 25.49 deg, 3.495 Å, I 100; 26.72 deg, 3.337 Å, I 40; 30.00 deg, 2.979 Å, I 32; 31.41 deg, 2.848 Å, I 57; 40.86 deg, 2.208 Å, I 17; 40.88 deg, 2.208 Å, I 39; 43.89 deg, 2.063 Å, I 17; 46.84 deg, 1.939 Å, I 19; 47.67 deg, 1.908 Å, I 21

---

[2]
For La2NdNiPt8, the GGA-PBE geometry in OQMD gives the simulated powder diffractogram in this record (λ = 1.5418 Å (Cu Kα)).

Structural model:
a = 9.3822 Å, b = 9.3822 Å, c = 9.3822 Å
α = 33.96°, β = 33.96°, γ = 33.96°
Atoms (fractional coordinates):
La (0.1399, 0.1399, 0.1399)
La (0.8601, 0.8601, 0.8601)
Nd (0.0000, 0.0000, 0.0000)
Ni (0.5000, 0.5000, 0.5000)
Pt (0.0864, 0.5865, 0.5865)
Pt (0.3325, 0.3325, 0.3325)
Pt (0.4135, 0.4135, 0.9136)
Pt (0.4135, 0.9136, 0.4135)
Pt (0.5865, 0.0864, 0.5865)
Pt (0.5865, 0.5865, 0.0864)
Pt (0.6675, 0.6675, 0.6675)
Pt (0.9136, 0.4135, 0.4135)

Largest 10 diffraction maxima, sorted by position, 2θ = 10–90°:
30.20 deg, 2.959 Å, I 17; 38.08 deg, 2.363 Å, I 46; 38.68 deg, 2.328 Å, I 100; 40.38 deg, 2.234 Å, I 28; 40.87 deg, 2.208 Å, I 29; 41.71 deg, 2.166 Å, I 51; 42.07 deg, 2.148 Å, I 18; 62.36 deg, 1.489 Å, I 25; 68.50 deg, 1.370 Å, I 31; 82.95 deg, 1.164 Å, I 23

---

[3]
For KPAu2O4, the GGA-PBE geometry in OQMD gives the simulated powder diffractogram in this record (λ = 1.5418 Å (Cu Kα)).

Structural model:
a = 7.2156 Å, b = 7.1884 Å, c = 9.0739 Å
α = 51.09°, β = 50.82°, γ = 78.09°
Atoms (fractional coordinates):
K (0.0000, 0.0000, 0.0000)
K (0.2500, 0.2500, 0.2500)
P (0.4998, 0.4998, 0.5002)
P (0.7498, 0.7498, 0.7502)
Au (0.1238, 0.6248, 0.8162)
Au (0.4338, 0.8148, 0.1262)
Au (0.6248, 0.1238, 0.4352)
Au (0.8148, 0.4338, 0.6252)
O (0.3377, 0.3889, 0.7768)
O (0.3889, 0.3377, 0.4966)
O (0.4732, 0.7534, 0.9123)
O (0.4967, 0.7766, 0.3383)
O (0.7534, 0.4732, 0.8611)
O (0.7766, 0.4967, 0.3884)
O (0.8616, 0.9117, 0.4734)
O (0.9117, 0.8616, 0.7533)

Largest 10 diffraction maxima, sorted by position, 2θ = 10–90°:
16.71 deg, 5.307 Å, I 22; 19.57 deg, 4.537 Å, I 56; 25.84 deg, 3.449 Å, I 48; 27.74 deg, 3.216 Å, I 27; 27.88 deg, 3.200 Å, I 27; 30.68 deg, 2.914 Å, I 100; 32.62 deg, 2.745 Å, I 28; 41.88 deg, 2.157 Å, I 42; 43.38 deg, 2.086 Å, I 25; 60.14 deg, 1.539 Å, I 16

---

[4]
For Lu4Sc2P3N3, the GGA-PBE geometry in OQMD gives the simulated powder diffractogram in this record (λ = 1.5418 Å (Cu Kα)).

Structural model:
a = 6.0989 Å, b = 6.0989 Å, c = 12.6487 Å
α = 103.92°, β = 103.92°, γ = 60.00°
Atoms (fractional coordinates):
Lu (0.0336, 0.2039, 0.1061)
Lu (0.1327, 0.2981, 0.3940)
Lu (0.2039, 0.0336, 0.6061)
Lu (0.2981, 0.1327, 0.8940)
Lu (0.7019, 0.8673, 0.1060)
Lu (0.7961, 0.9664, 0.3939)
Lu (0.8673, 0.7019, 0.6060)
Lu (0.9664, 0.7961, 0.8939)
Sc (0.3697, 0.5357, 0.1047)
Sc (0.4643, 0.6303, 0.3953)
Sc (0.5357, 0.3697, 0.6047)
Sc (0.6303, 0.4643, 0.8953)
P (0.0953, 0.9047, 0.2500)
P (0.2628, 0.4163, 0.7497)
P (0.4163, 0.2628, 0.2497)
P (0.5837, 0.7372, 0.7503)
P (0.7372, 0.5837, 0.2503)
P (0.9047, 0.0953, 0.7500)
N (0.0000, 0.5000, 0.0000)
N (0.1720, 0.6640, 0.4999)
N (0.3360, 0.8280, 0.0001)
N (0.5000, 0.0000, 0.5000)
N (0.6640, 0.1720, 0.9999)
N (0.8280, 0.3360, 0.5001)

Largest 10 diffraction maxima, sorted by position, 2θ = 10–90°:
16.96 deg, 5.227 Å, I 19; 29.29 deg, 3.049 Å, I 30; 29.40 deg, 3.038 Å, I 19; 30.22 deg, 2.958 Å, I 40; 36.90 deg, 2.436 Å, I 100; 51.94 deg, 1.761 Å, I 31; 60.80 deg, 1.524 Å, I 20; 61.47 deg, 1.509 Å, I 17; 65.40 deg, 1.427 Å, I 18; 88.12 deg, 1.109 Å, I 17

---

[5]
For Sr3Bi4Pd4, the GGA-PBE geometry in OQMD gives the simulated powder diffractogram in this record (λ = 1.5418 Å (Cu Kα)).

Structural model:
a = 4.5185 Å, b = 4.8290 Å, c = 13.9463 Å
α = 90.00°, β = 90.00°, γ = 90.00°
Atoms (fractional coordinates):
Sr (0.0000, 0.0000, 0.0000)
Sr (0.0000, 0.5000, 0.3098)
Sr (0.0000, 0.5000, 0.6902)
Bi (0.5000, 0.0000, 0.3834)
Bi (0.5000, 0.0000, 0.6166)
Bi (0.5000, 0.5000, 0.1096)
Bi (0.5000, 0.5000, 0.8904)
Pd (0.0000, 0.0000, 0.5000)
Pd (0.5000, 0.0000, 0.1888)
Pd (0.5000, 0.0000, 0.8112)
Pd (0.5000, 0.5000, 0.5000)

Largest 10 diffraction maxima, sorted by position, 2θ = 10–90°:
19.45 deg, 4.563 Å, I 28; 19.65 deg, 4.519 Å, I 56; 27.79 deg, 3.211 Å, I 37; 29.96 deg, 2.982 Å, I 53; 32.43 deg, 2.760 Å, I 42; 33.30 deg, 2.691 Å, I 29; 37.23 deg, 2.415 Å, I 100; 39.90 deg, 2.259 Å, I 36; 42.44 deg, 2.130 Å, I 61; 55.71 deg, 1.650 Å, I 63

---

[6]
For AlW2, the GGA-PBE geometry in OQMD gives the simulated powder diffractogram in this record (λ = 1.5418 Å (Cu Kα)).

Structural model:
a = 9.6817 Å, b = 9.6817 Å, c = 5.0966 Å
α = 90.00°, β = 90.00°, γ = 90.00°
Atoms (fractional coordinates):
Al (0.0000, 0.0000, 0.0000)
Al (0.1827, 0.1827, 0.2496)
Al (0.1827, 0.1827, 0.7504)
Al (0.3173, 0.6827, 0.2504)
Al (0.3173, 0.6827, 0.7496)
Al (0.5000, 0.5000, 0.5000)
Al (0.6827, 0.3173, 0.2504)
Al (0.6827, 0.3173, 0.7496)
Al (0.8173, 0.8173, 0.2496)
Al (0.8173, 0.8173, 0.7504)
W (0.0326, 0.6332, 0.5000)
W (0.0650, 0.7399, 0.0000)
W (0.0991, 0.9009, 0.5000)
W (0.1332, 0.4674, 0.0000)
W (0.2399, 0.4350, 0.5000)
W (0.2601, 0.9350, 0.0000)
W (0.3668, 0.9674, 0.5000)
W (0.4009, 0.4009, 0.0000)
W (0.4350, 0.2399, 0.5000)
W (0.4674, 0.1332, 0.0000)
W (0.5326, 0.8668, 0.0000)
W (0.5650, 0.7601, 0.5000)
W (0.5991, 0.5991, 0.0000)
W (0.6332, 0.0326, 0.5000)
W (0.7399, 0.0650, 0.0000)
W (0.7601, 0.5650, 0.5000)
W (0.8668, 0.5326, 0.0000)
W (0.9009, 0.0991, 0.5000)
W (0.9350, 0.2601, 0.0000)
W (0.9674, 0.3668, 0.5000)

Largest 10 diffraction maxima, sorted by position, 2θ = 10–90°:
12.93 deg, 6.846 Å, I 19; 20.51 deg, 4.330 Å, I 43; 35.22 deg, 2.548 Å, I 52; 38.33 deg, 2.348 Å, I 38; 41.10 deg, 2.196 Å, I 28; 42.38 deg, 2.133 Å, I 100; 43.45 deg, 2.083 Å, I 60; 53.03 deg, 1.727 Å, I 18; 68.13 deg, 1.376 Å, I 25; 68.90 deg, 1.363 Å, I 21

---

[7]
For MoAsSe4, the GGA-PBE geometry in OQMD gives the simulated powder diffractogram in this record (λ = 1.5418 Å (Cu Kα)).

Structural model:
a = 3.3852 Å, b = 3.3852 Å, c = 13.7552 Å
α = 90.00°, β = 90.00°, γ = 120.00°
Atoms (fractional coordinates):
Mo (0.0000, 0.0000, 0.0000)
As (0.3333, 0.6667, 0.5000)
Se (0.0000, 0.0000, 0.3685)
Se (0.0000, 0.0000, 0.6315)
Se (0.3333, 0.6667, 0.1202)
Se (0.3333, 0.6667, 0.8798)

Largest 10 diffraction maxima, sorted by position, 2θ = 10–90°:
12.87 deg, 6.878 Å, I 52; 30.49 deg, 2.932 Å, I 41; 36.37 deg, 2.470 Å, I 100; 45.20 deg, 2.006 Å, I 50; 53.28 deg, 1.719 Å, I 10; 54.19 deg, 1.693 Å, I 31; 62.64 deg, 1.483 Å, I 9; 67.03 deg, 1.396 Å, I 16; 73.16 deg, 1.294 Å, I 12; 79.45 deg, 1.206 Å, I 19

---

[8]
For HoGeHO4, the GGA-PBE geometry in OQMD gives the simulated powder diffractogram in this record (λ = 1.5418 Å (Cu Kα)).

Structural model:
a = 8.0510 Å, b = 6.5596 Å, c = 6.8868 Å
α = 90.00°, β = 115.17°, γ = 90.00°
Atoms (fractional coordinates):
Ho (0.2129, 0.1399, 0.1095)
Ho (0.2129, 0.3601, 0.6095)
Ho (0.7871, 0.6399, 0.3905)
Ho (0.7871, 0.8601, 0.8905)
Ge (0.2433, 0.6156, 0.1197)
Ge (0.2433, 0.8844, 0.6197)
Ge (0.7567, 0.1156, 0.3803)
Ge (0.7567, 0.3844, 0.8803)
H (0.4800, 0.6696, 0.6033)
H (0.4800, 0.8304, 0.1033)
H (0.5200, 0.1696, 0.8967)
H (0.5200, 0.3304, 0.3967)
O (0.0854, 0.6862, 0.5445)
O (0.0854, 0.8138, 0.0445)
O (0.2176, 0.0666, 0.4254)
O (0.2176, 0.4334, 0.9254)
O (0.2737, 0.0423, 0.8373)
O (0.2737, 0.4577, 0.3373)
O (0.4644, 0.7455, 0.2127)
O (0.4644, 0.7545, 0.7127)
O (0.5356, 0.2455, 0.2873)
O (0.5356, 0.2545, 0.7873)
O (0.7263, 0.5423, 0.6627)
O (0.7263, 0.9577, 0.1627)
O (0.7824, 0.5666, 0.0746)
O (0.7824, 0.9334, 0.5746)
O (0.9146, 0.1862, 0.9555)
O (0.9146, 0.3138, 0.4555)

Largest 10 diffraction maxima, sorted by position, 2θ = 10–90°:
18.20 deg, 4.875 Å, I 37; 24.43 deg, 3.643 Å, I 98; 25.87 deg, 3.443 Å, I 100; 30.81 deg, 2.902 Å, I 85; 35.50 deg, 2.528 Å, I 100; 35.89 deg, 2.502 Å, I 43; 48.83 deg, 1.865 Å, I 30; 52.15 deg, 1.754 Å, I 44; 53.83 deg, 1.703 Å, I 44; 68.39 deg, 1.372 Å, I 21

---

[9]
For DyAlGa3Ni, the GGA-PBE geometry in OQMD gives the simulated powder diffractogram in this record (λ = 1.5418 Å (Cu Kα)).

Structural model:
a = 7.9062 Å, b = 7.9062 Å, c = 6.5277 Å
α = 90.00°, β = 90.00°, γ = 149.93°
Atoms (fractional coordinates):
Dy (0.1209, 0.8791, 0.7500)
Dy (0.8791, 0.1209, 0.2500)
Al (0.5000, 0.5000, 0.0000)
Al (0.5000, 0.5000, 0.5000)
Ga (0.0696, 0.9304, 0.2500)
Ga (0.3159, 0.6841, 0.5503)
Ga (0.3159, 0.6841, 0.9497)
Ga (0.6841, 0.3159, 0.0503)
Ga (0.6841, 0.3159, 0.4497)
Ga (0.9304, 0.0696, 0.7500)
Ni (0.2236, 0.7764, 0.2500)
Ni (0.7764, 0.2236, 0.7500)

Largest 10 diffraction maxima, sorted by position, 2θ = 10–90°:
11.59 deg, 7.636 Å, I 31; 22.45 deg, 3.961 Å, I 25; 35.64 deg, 2.519 Å, I 100; 36.69 deg, 2.450 Å, I 49; 37.94 deg, 2.371 Å, I 45; 39.28 deg, 2.293 Å, I 53; 39.48 deg, 2.283 Å, I 43; 44.17 deg, 2.051 Å, I 42; 45.18 deg, 2.007 Å, I 21; 59.61 deg, 1.551 Å, I 24

---

[10]
For Tb3SbO7, the GGA-PBE geometry in OQMD gives the simulated powder diffractogram in this record (λ = 1.5418 Å (Cu Kα)).

Structural model:
a = 6.4479 Å, b = 6.4479 Å, c = 7.4982 Å
α = 90.00°, β = 90.00°, γ = 109.52°
Atoms (fractional coordinates):
Tb (0.0000, 0.0000, 0.0000)
Tb (0.0000, 0.0000, 0.5000)
Tb (0.0326, 0.4999, 0.7500)
Tb (0.4999, 0.0326, 0.2500)
Tb (0.5001, 0.9674, 0.7500)
Tb (0.9674, 0.5001, 0.2500)
Sb (0.5000, 0.5000, 0.0000)
Sb (0.5000, 0.5000, 0.5000)
O (0.1305, 0.8695, 0.2500)
O (0.1360, 0.8640, 0.7500)
O (0.1780, 0.4270, 0.0301)
O (0.1780, 0.4270, 0.4699)
O (0.4270, 0.1780, 0.5301)
O (0.4270, 0.1780, 0.9699)
O (0.4302, 0.5698, 0.7500)
O (0.5698, 0.4302, 0.2500)
O (0.5730, 0.8220, 0.0301)
O (0.5730, 0.8220, 0.4699)
O (0.8220, 0.5730, 0.5301)
O (0.8220, 0.5730, 0.9699)
O (0.8640, 0.1360, 0.2500)
O (0.8695, 0.1305, 0.7500)

Largest 10 diffraction maxima, sorted by position, 2θ = 10–90°:
29.24 deg, 3.054 Å, I 99; 29.39 deg, 3.039 Å, I 100; 33.95 deg, 2.641 Å, I 47; 34.05 deg, 2.633 Å, I 21; 48.57 deg, 1.875 Å, I 17; 48.84 deg, 1.865 Å, I 58; 48.97 deg, 1.860 Å, I 14; 57.79 deg, 1.595 Å, I 30; 58.06 deg, 1.589 Å, I 50; 81.76 deg, 1.178 Å, I 11

---

[11]
For HfZrAg, the GGA-PBE geometry in OQMD gives the simulated powder diffractogram in this record (λ = 1.5418 Å (Cu Kα)).

Structural model:
a = 3.2446 Å, b = 3.2446 Å, c = 11.9413 Å
α = 90.00°, β = 90.00°, γ = 90.00°
Atoms (fractional coordinates):
Hf (0.0000, 0.0000, 0.1619)
Hf (0.0000, 0.0000, 0.8381)
Zr (0.5000, 0.5000, 0.3337)
Zr (0.5000, 0.5000, 0.6663)
Ag (0.0000, 0.0000, 0.5000)
Ag (0.5000, 0.5000, 0.0000)

Largest 10 diffraction maxima, sorted by position, 2θ = 10–90°:
27.49 deg, 3.245 Å, I 4; 35.70 deg, 2.515 Å, I 100; 39.27 deg, 2.294 Å, I 38; 45.59 deg, 1.990 Å, I 15; 56.74 deg, 1.622 Å, I 13; 61.70 deg, 1.503 Å, I 21; 68.87 deg, 1.363 Å, I 28; 75.62 deg, 1.257 Å, I 11; 77.77 deg, 1.228 Å, I 10; 84.45 deg, 1.147 Å, I 4

---

[12]
For Tb2YIn3Pd3, the GGA-PBE geometry in OQMD gives the simulated powder diffractogram in this record (λ = 1.5418 Å (Cu Kα)).

Structural model:
a = 3.8649 Å, b = 7.7125 Å, c = 7.7125 Å
α = 120.10°, β = 90.00°, γ = 90.00°
Atoms (fractional coordinates):
Tb (0.0000, 0.2044, 0.7956)
Tb (0.0000, 0.7956, 0.2044)
Y (0.0000, 0.3877, 0.3877)
In (0.5000, 0.0560, 0.0560)
In (0.5000, 0.5373, 0.7945)
In (0.5000, 0.7945, 0.5373)
Pd (0.0000, 0.7975, 0.7975)
Pd (0.5000, 0.1274, 0.4629)
Pd (0.5000, 0.4629, 0.1274)

Largest 10 diffraction maxima, sorted by position, 2θ = 10–90°:
32.82 deg, 2.729 Å, I 69; 35.55 deg, 2.525 Å, I 100; 40.54 deg, 2.225 Å, I 29; 42.80 deg, 2.113 Å, I 19; 47.02 deg, 1.932 Å, I 17; 55.02 deg, 1.669 Å, I 8; 60.33 deg, 1.534 Å, I 17; 63.80 deg, 1.459 Å, I 17; 65.53 deg, 1.424 Å, I 17; 79.81 deg, 1.202 Å, I 7